# CoRh2Au
Simulated powder XRD pattern, copper Kα. Input: the GGA-PBE geometry in Alexandria.

Main lines, by angle (2θ from 10° to 90°):
d/Å, intensity
4.617, 182
2.932, 163
2.243, 513
2.236, 495
2.231, 1000
1.953, 673
1.902, 296
1.364, 201
1.361, 189
1.173, 250

Cell and atoms:
```
8
Lattice="9.1305 0.0000 0.0000 0.0000 2.7543 0.0000 -0.9452 0.0000 4.6173" Properties=species:S:1:pos:R:3 pbc="T T T"
Co 0.0000 0.0000 0.0000
Co 4.5653 1.3772 0.0000
Rh 1.9670 1.3772 1.0815
Rh 1.6531 0.0000 3.5358
Rh 6.5323 0.0000 1.0815
Rh 6.2184 1.3772 3.5358
Au -0.4726 1.3772 2.3086
Au 4.0927 0.0000 2.3086
```